This entry pairs a crystal structure of SmMo2PbO8 with its simulated powder XRD pattern. Radiation: a wavelength of 1.5418 Å. Structure: the PBE+U geometry in Alexandria.
Lines closer than 0.1° are merged.

Structural model:
```
data_SmMo2PbO8
_chemical_formula_sum 'Sm1 Mo2 Pb1 O8'
_cell_length_a 6.0784
_cell_length_b 6.0784
_cell_length_c 7.1625
_cell_angle_alpha 90.00
_cell_angle_beta 90.00
_cell_angle_gamma 120.00
_symmetry_space_group_name_H-M 'P -3 m 1'
_symmetry_Int_Tables_number 164
_symmetry_space_group_name_Hall '-P 3 2"'
loop_
_atom_site_label
_atom_site_type_symbol
_atom_site_fract_x
_atom_site_fract_y
_atom_site_fract_z
Sm1 Sm 0.0000 0.0000 0.0000
Mo1 Mo 0.3333 0.6667 0.2920
Pb1 Pb 0.0000 0.0000 0.5000
O1 O 0.1656 0.3311 0.2156
O2 O 0.3333 0.6667 0.5381
```

Most intense lines, 10 to 80 degrees two-theta, most intense first:
2θ 30.18, I 100, (1 0 2)
2θ 29.39, I 96, (1 1 0)
2θ 16.84, I 76, (1 0 0)
2θ 42.63, I 53, (0 2 2)
2θ 20.94, I 53, (1 0 1)
2θ 52.62, I 44, (2 1 2)
2θ 69.53, I 20, (1 3 2)
2θ 52.12, I 19, (3 0 0)